# TiCu2F
Computed powder X-ray diffraction pattern, Cu Kα (λ = 1.5418 Å). Input: a DFT-relaxed cell (PBE, Alexandria).

Atomic structure:
Cell: 6.959 6.959 4.461 Å, 90.00 90.00 90.00°
Space group I-42d (No. 122)
One atom of each set of equivalent atoms:
Ti (0.000, 0.000, 0.000)
Cu (0.211, 0.250, 0.625)
F (0.000, 0.000, 0.500)

The 10 most intense peaks (10° ≤ 2θ ≤ 80°), in order of rising 2θ:
2θ (°), I (rel.)
25.6, 27.0
35.2, 29.4
36.5, 100.0
44.0, 14.1
44.6, 69.3
52.6, 27.3
59.0, 46.0
70.9, 12.2
71.4, 9.8
76.8, 9.3

***

# Ac5Pm2Nd3
Computed powder X-ray diffraction pattern, Cu Kα (λ = 1.5418 Å). Input: a DFT-relaxed cell (PBE, Alexandria).

Atomic structure:
Cell: 5.391 6.638 12.192 Å, 90.01 90.07 113.94°
Space group P-1 (No. 2)
One atom of each set of equivalent atoms:
Ac (0.000, 0.000, 0.000)
Ac (0.103, 0.206, 0.295)
Ac (0.195, 0.390, 0.603)
Pm (0.296, 0.592, 0.905)
Nd (0.400, 0.801, 0.195)
Nd (0.500, 0.000, 0.500)

The 10 most intense peaks (10° ≤ 2θ ≤ 80°), in order of rising 2θ:
2θ (°), I (rel.)
28.5, 100.0
32.9, 17.1
33.0, 17.2
33.2, 16.9
47.4, 12.5
47.5, 18.8
56.0, 7.6
56.1, 15.1
56.3, 7.6
56.5, 15.1

***

# CuNi2Ge2
Computed powder X-ray diffraction pattern, Cu Kα (λ = 1.5418 Å). Input: a DFT-relaxed cell (PBE, Alexandria).

Atomic structure:
Cell: 5.058 3.885 6.778 Å, 90.00 90.00 90.00°
Space group Pmma (No. 51)
One atom of each set of equivalent atoms:
Cu (0.000, 0.000, 0.000)
Ni (0.000, 0.500, 0.500)
Ni (0.250, 0.500, 0.170)
Ge (0.250, 0.000, 0.379)
Ge (0.250, 0.500, 0.812)

The 10 most intense peaks (10° ≤ 2θ ≤ 80°), in order of rising 2θ:
2θ (°), I (rel.)
31.8, 8.1
31.9, 12.6
35.1, 10.7
39.5, 10.1
44.8, 100.0
46.5, 52.5
46.8, 31.3
66.4, 11.4
66.7, 15.7
75.1, 7.1